The following is a computed XRD peak list of Sr5B3BrO9. It was derived from the PBE geometry in Alexandria, using Cu Kα, 1.54184 Å.

The 12 most intense peaks (2θ from 10° to 80°), in order of rising 2θ:
Position (°2θ)	intensity
23.61	41.5
29.33	100.0
29.60	36.8
30.48	40.1
31.24	67.1
32.43	43.3
32.71	40.1
34.48	50.8
37.52	36.8
40.31	33.9
50.14	39.4
51.27	34.0

Crystal structure
```
36
Lattice="5.0626 -7.1970 0.0000 5.0626 7.1970 0.0000 0.0000 0.0000 7.6246" Properties=species:S:1:pos:R:3 pbc="T T T"
Sr 5.0626 5.2298 1.9062
Sr 5.0626 5.2236 5.7185
Sr 3.6776 1.8904 4.3654
Sr 2.6153 0.0000 0.0000
Sr 3.6776 -1.8904 3.2592
Sr 6.4476 1.8904 7.0716
Sr 7.5099 0.0000 3.8123
Sr 6.4476 -1.8904 0.5531
Sr 5.0626 -5.2236 1.9062
Sr 5.0626 -5.2298 5.7185
B 3.0798 3.0427 7.4151
B 1.2842 0.0000 3.8123
B 7.0454 3.0427 4.0218
B 3.0798 -3.0427 0.2095
B 8.8409 0.0000 0.0000
B 7.0454 -3.0427 3.6028
Br 5.0626 0.8695 1.9062
Br 5.0626 -0.8695 5.7185
O 0.1179 0.0000 0.0000
O 3.3193 4.4629 3.9232
O 3.6066 4.2949 0.0982
O 1.9405 0.0469 5.0338
O 1.9405 -0.0469 2.5909
O 3.8605 2.1112 6.7505
O 6.5185 4.2949 3.7141
O 6.8059 4.4629 7.5137
O 6.2646 2.1112 4.6864
O 3.8605 -2.1112 0.8741
O 3.3193 -4.4629 3.7014
O 3.6066 -4.2949 7.5264
O 6.2646 -2.1112 2.9382
O 8.1847 0.0469 6.4032
O 8.1847 -0.0469 1.2214
O 6.5185 -4.2949 3.9105
O 6.8059 -4.4629 0.1109
O 10.0073 0.0000 3.8123
```